Record 1
Structure and calculated XRD peak list of YEr2Al7Ag2 (a cell relaxed with PBE; Cu Ka).
Peak positions follow from Bragg's law for the DFT cell and can differ from measured ones.

Top 10 peaks for 2θ from 10° to 90°, low angle first:
| 2θ (°) | I_rel |
| --- | --- |
| 20.29 | 34 |
| 22.99 | 39 |
| 30.27 | 25 |
| 32.39 | 86 |
| 38.52 | 100 |
| 39.13 | 17 |
| 40.09 | 19 |
| 52.43 | 17 |
| 61.88 | 24 |
| 67.80 | 18 |

Atomic structure:
```
data_YEr2Al7Ag2
_chemical_formula_sum 'Y3 Er6 Al21 Ag6'
_cell_length_a 5.5286
_cell_length_b 5.5286
_cell_length_c 26.2557
_cell_angle_alpha 90.00
_cell_angle_beta 90.00
_cell_angle_gamma 120.00
_space_group_name_H-M_alt 'R -3 m'
_space_group_IT_number 166
_space_group_name_Hall '-R 3 2"'
loop_
_atom_site_label
_atom_site_type_symbol
_atom_site_fract_x
_atom_site_fract_y
_atom_site_fract_z
Y1 Y 0.0000 0.0000 0.0000
Er1 Er 0.0000 0.0000 0.1425
Al1 Al 0.0000 0.0000 0.5000
Al2 Al 0.0081 0.5040 0.9158
Ag1 Ag 0.0000 0.0000 0.3357
```



Record 2
Structure and calculated XRD peak list of K3RbZn2Sn2 (a cell relaxed with PBE; Cu Ka).
Peak positions follow from Bragg's law for the DFT cell and can differ from measured ones.

Top 10 peaks for 2θ from 10° to 90°, low angle first:
| 2θ (°) | I_rel |
| --- | --- |
| 16.01 | 91 |
| 19.20 | 56 |
| 25.60 | 33 |
| 26.61 | 32 |
| 27.39 | 34 |
| 29.73 | 100 |
| 30.00 | 94 |
| 35.14 | 79 |
| 36.55 | 31 |
| 38.69 | 41 |

Atomic structure:
```
data_K3RbZn2Sn2
_chemical_formula_sum 'K3 Rb1 Zn2 Sn2'
_cell_length_a 6.852
_cell_length_b 6.511
_cell_length_c 6.950
_cell_angle_alpha 90.00
_cell_angle_beta 106.73
_cell_angle_gamma 90.00
_space_group_name_H-M_alt 'P 1 m 1'
_space_group_IT_number 6
loop_
_space_group_symop_operation_xyz
'x,y,z'
'x,-y,z'
loop_
_atom_site_label
_atom_site_type_symbol
_atom_site_fract_x
_atom_site_fract_y
_atom_site_fract_z
K1 K 0.000 0.000 0.000
K2 K 0.307 0.500 0.309
K3 K 0.649 0.500 0.975
Rb1 Rb 0.341 0.000 0.661
Zn1 Zn 0.820 0.250 0.488
Sn1 Sn 0.070 0.500 0.739
Sn2 Sn 0.577 0.000 0.231
```



Record 3
Structure and calculated XRD peak list of SmYAu4 (a cell relaxed with PBE; Cu Ka).
Peak positions follow from Bragg's law for the DFT cell and can differ from measured ones.

Top 10 peaks for 2θ from 10° to 90°, low angle first:
| 2θ (°) | I_rel |
| --- | --- |
| 25.85 | 32 |
| 31.88 | 23 |
| 33.94 | 41 |
| 34.22 | 100 |
| 38.16 | 93 |
| 38.91 | 51 |
| 40.77 | 18 |
| 46.67 | 35 |
| 52.58 | 24 |
| 67.29 | 19 |

Atomic structure:
```
data_SmYAu4
_chemical_formula_sum 'Sm2 Y2 Au8'
_cell_length_a 4.629
_cell_length_b 6.894
_cell_length_c 8.221
_cell_angle_alpha 90.00
_cell_angle_beta 90.00
_cell_angle_gamma 90.00
_space_group_name_H-M_alt 'I m m 2'
_space_group_IT_number 44
loop_
_space_group_symop_operation_xyz
'x,y,z'
'-x,-y,z'
'-x,y,z'
'x,-y,z'
'x+1/2,y+1/2,z+1/2'
'-x+1/2,-y+1/2,z+1/2'
'-x+1/2,y+1/2,z+1/2'
'x+1/2,-y+1/2,z+1/2'
loop_
_atom_site_label
_atom_site_type_symbol
_atom_site_fract_x
_atom_site_fract_y
_atom_site_fract_z
Sm1 Sm 0.000 0.000 0.000
Y1 Y 0.000 0.500 0.919
Au1 Au 0.000 0.215 0.622
Au2 Au 0.000 0.282 0.296
```



Record 4
Structure and calculated XRD peak list of Nd3GaO6 (a cell relaxed with PBE; Cu Ka).
Peak positions follow from Bragg's law for the DFT cell and can differ from measured ones.

Top 10 peaks for 2θ from 10° to 90°, low angle first:
| 2θ (°) | I_rel |
| --- | --- |
| 29.58 | 100 |
| 29.89 | 40 |
| 30.19 | 16 |
| 32.09 | 20 |
| 44.64 | 22 |
| 45.28 | 19 |
| 49.52 | 21 |
| 55.67 | 13 |
| 58.05 | 16 |
| 60.24 | 13 |

Atomic structure:
```
data_Nd3GaO6
_chemical_formula_sum 'Nd12 Ga4 O24'
_cell_length_a 9.190
_cell_length_b 11.512
_cell_length_c 5.578
_cell_angle_alpha 90.00
_cell_angle_beta 90.00
_cell_angle_gamma 90.00
_space_group_name_H-M_alt 'C m c 21'
_space_group_IT_number 36
loop_
_space_group_symop_operation_xyz
'x,y,z'
'-x,-y,z+1/2'
'-x,y,z'
'x,-y,z+1/2'
'x+1/2,y+1/2,z'
'-x+1/2,-y+1/2,z+1/2'
'-x+1/2,y+1/2,z'
'x+1/2,-y+1/2,z+1/2'
loop_
_atom_site_label
_atom_site_type_symbol
_atom_site_fract_x
_atom_site_fract_y
_atom_site_fract_z
Nd1 Nd 0.000 0.104 0.000
Nd2 Nd 0.192 0.394 0.956
Ga1 Ga 0.000 0.308 0.423
O1 O 0.000 0.284 0.751
O2 O 0.000 0.459 0.291
O3 O 0.155 0.239 0.254
O4 O 0.159 0.013 0.726
```



Record 5
Structure and calculated XRD peak list of NdHoB2Ir2N2 (a cell relaxed with PBE; Cu Ka).
Peak positions follow from Bragg's law for the DFT cell and can differ from measured ones.

Top 10 peaks for 2θ from 10° to 90°, low angle first:
| 2θ (°) | I_rel |
| --- | --- |
| 11.78 | 52 |
| 26.44 | 38 |
| 33.68 | 27 |
| 35.72 | 100 |
| 35.87 | 40 |
| 41.52 | 64 |
| 48.24 | 38 |
| 60.28 | 25 |
| 61.56 | 34 |
| 81.77 | 34 |

Atomic structure:
```
data_NdHoB2Ir2N2
_chemical_formula_sum 'Nd1 Ho1 B2 Ir2 N2'
_cell_length_a 3.773
_cell_length_b 3.773
_cell_length_c 7.510
_cell_angle_alpha 90.00
_cell_angle_beta 90.00
_cell_angle_gamma 90.00
_space_group_name_H-M_alt 'P 4 m m'
_space_group_IT_number 99
loop_
_space_group_symop_operation_xyz
'x,y,z'
'-y,x,z'
'-x,-y,z'
'y,-x,z'
'-x,y,z'
'y,x,z'
'x,-y,z'
'-y,-x,z'
loop_
_atom_site_label
_atom_site_type_symbol
_atom_site_fract_x
_atom_site_fract_y
_atom_site_fract_z
Nd1 Nd 0.000 0.000 0.000
Ho1 Ho 0.500 0.500 0.328
B1 B 0.000 0.000 0.513
B2 B 0.500 0.500 0.820
Ir1 Ir 0.000 0.500 0.663
N1 N 0.000 0.000 0.315
N2 N 0.500 0.500 0.021
```



Copy entry 1 word for word.
Structure and calculated XRD peak list of YEr2Al7Ag2 (a cell relaxed with PBE; Cu Ka).
Peak positions follow from Bragg's law for the DFT cell and can differ from measured ones.

Top 10 peaks for 2θ from 10° to 90°, low angle first:
| 2θ (°) | I_rel |
| --- | --- |
| 20.29 | 34 |
| 22.99 | 39 |
| 30.27 | 25 |
| 32.39 | 86 |
| 38.52 | 100 |
| 39.13 | 17 |
| 40.09 | 19 |
| 52.43 | 17 |
| 61.88 | 24 |
| 67.80 | 18 |

Atomic structure:
```
data_YEr2Al7Ag2
_chemical_formula_sum 'Y3 Er6 Al21 Ag6'
_cell_length_a 5.5286
_cell_length_b 5.5286
_cell_length_c 26.2557
_cell_angle_alpha 90.00
_cell_angle_beta 90.00
_cell_angle_gamma 120.00
_space_group_name_H-M_alt 'R -3 m'
_space_group_IT_number 166
_space_group_name_Hall '-R 3 2"'
loop_
_atom_site_label
_atom_site_type_symbol
_atom_site_fract_x
_atom_site_fract_y
_atom_site_fract_z
Y1 Y 0.0000 0.0000 0.0000
Er1 Er 0.0000 0.0000 0.1425
Al1 Al 0.0000 0.0000 0.5000
Al2 Al 0.0081 0.5040 0.9158
Ag1 Ag 0.0000 0.0000 0.3357
```